No. 1
The following is a theoretical X-ray diffraction stick pattern of GdDyAlCo2. It was derived from a DFT-relaxed cell (GGA-PBE, OQMD), using Cu Kα (weighted mean of Kα1 and Kα2).
No peak broadening, texture or thermal motion is included.

The 10 most intense peaks (2θ from 10° to 90°), in order of falling intensity:
2θ/deg	d [Å]	I/Imax
35.0	2.563	100
27.5	3.245	69
39.4	2.285	47
39.3	2.294	42
41.4	2.182	35
36.2	2.482	28
44.9	2.018	28
70.0	1.344	28
61.3	1.512	25
55.4	1.658	17

Structural model:
```
5
Lattice="-2.018 2.728 4.181 2.018 -2.728 4.181 2.018 2.728 -4.181" Properties=species:S:1:pos:R:3 pbc="T T T"
Gd 0.000 0.000 0.000
Dy 0.000 0.000 4.947
Al 2.018 0.000 2.475
Co 2.018 1.221 -1.711
Co 0.000 1.507 2.470
```

---

No. 2
The following is a theoretical X-ray diffraction stick pattern of Er3Si2Ni4Ge2. It was derived from a DFT-relaxed cell (GGA-PBE, OQMD), using Cu Kα (weighted mean of Kα1 and Kα2).
No peak broadening, texture or thermal motion is included.

The 10 most intense peaks (2θ from 10° to 90°), in order of falling intensity:
2θ/deg	d [Å]	I/Imax
35.9	2.505	100
37.6	2.395	85
45.9	1.978	36
45.3	2.000	33
29.3	3.049	26
36.1	2.485	26
24.0	3.704	23
66.5	1.406	23
40.4	2.235	16
81.9	1.177	16

Structural model:
```
11
Lattice="-2.000 3.309 6.704 2.000 -3.309 6.704 2.000 3.309 -6.704" Properties=species:S:1:pos:R:3 pbc="T T T"
Er 0.000 0.000 0.000
Er 2.000 0.000 4.971
Er 0.000 3.309 1.732
Si 0.000 0.000 2.917
Si 0.000 0.000 10.491
Ni 2.000 1.297 -2.443
Ni 2.000 1.297 2.443
Ni 0.000 2.011 4.261
Ni 0.000 2.011 9.147
Ge 2.000 2.014 0.000
Ge 0.000 1.295 6.704
```

---

No. 3
The following is a theoretical X-ray diffraction stick pattern of GdYZr2Bi2. It was derived from a DFT-relaxed cell (GGA-PBE, OQMD), using Cu Kα (weighted mean of Kα1 and Kα2).
No peak broadening, texture or thermal motion is included.

The 10 most intense peaks (2θ from 10° to 90°), in order of falling intensity:
2θ/deg	d [Å]	I/Imax
36.1	2.485	100
41.7	2.168	55
31.0	2.883	51
29.1	3.066	45
33.5	2.673	41
72.4	1.305	27
21.2	4.200	26
31.6	2.829	25
53.2	1.721	23
54.5	1.684	21

Structural model:
```
6
Lattice="-2.168 2.168 8.486 2.168 -2.168 8.486 2.168 2.168 -8.486" Properties=species:S:1:pos:R:3 pbc="T T T"
Gd 0.000 0.000 0.000
Y 0.000 0.000 10.983
Zr 2.168 0.000 5.489
Zr 0.000 2.168 5.489
Bi 0.000 0.000 3.214
Bi 0.000 0.000 7.763
```